ThGa7Cu5: calculated powder diffractogram (Cu Kα), based on a structure optimized by DFT (GGA-PBE).
Intensities are scaled so that the largest is 100.

Structure:
```
data_ThGa7Cu5
_symmetry_space_group_name_H-M 'I m m 2'
_symmetry_Int_Tables_number 44
_symmetry_space_group_name_Hall 'I 2 -2'
_cell_length_a 5.2580
_cell_length_b 8.9208
_cell_length_c 8.7271
_cell_angle_alpha 90.00
_cell_angle_beta 90.00
_cell_angle_gamma 90.00
loop_
_atom_site_label
_atom_site_fract_x
_atom_site_fract_y
_atom_site_fract_z
Th1 0.0000 0.0000 0.0000
Ga1 0.0000 0.0000 0.3529
Ga2 0.0000 0.0000 0.6502
Ga3 0.0000 0.2971 0.4913
Ga4 0.0000 0.3493 0.0075
Ga5 0.0000 0.5000 0.7275
Cu1 0.0000 0.5000 0.2723
Cu2 0.2473 0.2498 0.7473
```

Principal peaks in the range 2θ from 10° to 90°, low angle first:
2θ (°)  d_spacing  Rel. int.
34.7  2.588  39
39.8  2.265  44
40.0  2.252  42
40.5  2.227  100
40.8  2.211  52
41.4  2.182  32

---

Th2Ga6Cu3: calculated powder diffractogram (Cu Kα), based on a structure optimized by DFT (GGA-PBE).
Intensities are scaled so that the largest is 100.

Structure:
```
data_Th2Ga6Cu3
_symmetry_space_group_name_H-M 'P -6 2 m'
_symmetry_Int_Tables_number 189
_symmetry_space_group_name_Hall 'P -6 -2'
_cell_length_a 7.5680
_cell_length_b 7.5680
_cell_length_c 4.1607
_cell_angle_alpha 90.00
_cell_angle_beta 90.00
_cell_angle_gamma 120.00
loop_
_atom_site_label
_atom_site_fract_x
_atom_site_fract_y
_atom_site_fract_z
Th1 0.3333 0.6667 0.0000
Ga1 0.0000 0.3165 0.5000
Ga2 0.0000 0.8040 0.0000
Cu1 0.0000 0.6392 0.5000
```

Principal peaks in the range 2θ from 10° to 90°, low angle first:
2θ (°)  d_spacing  Rel. int.
32.0  2.799  100
41.3  2.185  37
42.5  2.129  33
43.5  2.080  20
61.6  1.507  22
69.5  1.353  28

---

ThGa4Cu4: calculated powder diffractogram (Cu Kα), based on a structure optimized by DFT (GGA-PBE).
Intensities are scaled so that the largest is 100.

Structure:
```
data_ThGa4Cu4
_symmetry_space_group_name_H-M 'I 4/m'
_symmetry_Int_Tables_number 87
_symmetry_space_group_name_Hall '-I 4'
_cell_length_a 8.2436
_cell_length_b 8.2436
_cell_length_c 4.5189
_cell_angle_alpha 90.00
_cell_angle_beta 90.00
_cell_angle_gamma 90.00
loop_
_atom_site_label
_atom_site_fract_x
_atom_site_fract_y
_atom_site_fract_z
Th1 0.0000 0.0000 0.0000
Ga1 0.1012 0.3711 0.0000
Cu1 0.1159 0.2176 0.5000
```

Principal peaks in the range 2θ from 10° to 90°, low angle first:
2θ (°)  d_spacing  Rel. int.
31.3  2.857  100
34.4  2.607  57
38.3  2.348  67
39.9  2.259  48
44.4  2.040  83
53.7  1.707  32

---

Th2Ga2Cu3: calculated powder diffractogram (Cu Kα), based on a structure optimized by DFT (GGA-PBE).
Intensities are scaled so that the largest is 100.

Structure:
```
data_Th2Ga2Cu3
_symmetry_space_group_name_H-M 'C m c m'
_symmetry_Int_Tables_number 63
_symmetry_space_group_name_Hall '-C 2c 2'
_cell_length_a 4.2667
_cell_length_b 18.7103
_cell_length_c 6.8684
_cell_angle_alpha 90.00
_cell_angle_beta 90.00
_cell_angle_gamma 90.00
loop_
_atom_site_label
_atom_site_fract_x
_atom_site_fract_y
_atom_site_fract_z
Th1 0.0000 0.0523 0.2500
Th2 0.0000 0.1561 0.7500
Ga1 0.0000 0.3141 0.5615
Cu1 0.0000 0.2231 0.2500
Cu2 0.0000 0.4406 0.0686
```

Principal peaks in the range 2θ from 10° to 90°, low angle first:
2θ (°)  d_spacing  Rel. int.
31.5  2.839  23
33.8  2.648  73
34.4  2.603  100
42.4  2.133  28
44.0  2.056  28
56.0  1.642  24

---

TiGaCu: calculated powder diffractogram (Cu Kα), based on a structure optimized by DFT (GGA-PBE).
Intensities are scaled so that the largest is 100.

Structure:
```
data_TiGaCu
_symmetry_space_group_name_H-M 'P m n 21'
_symmetry_Int_Tables_number 31
_symmetry_space_group_name_Hall 'P 2ac -2'
_cell_length_a 4.0506
_cell_length_b 7.2415
_cell_length_c 3.0376
_cell_angle_alpha 90.00
_cell_angle_beta 90.00
_cell_angle_gamma 90.00
loop_
_atom_site_label
_atom_site_fract_x
_atom_site_fract_y
_atom_site_fract_z
Ti1 0.0000 0.1150 0.0000
Ga1 0.0000 0.7452 0.0001
Cu1 0.0000 0.4580 0.5017
```

Principal peaks in the range 2θ from 10° to 90°, low angle first:
2θ (°)  d_spacing  Rel. int.
12.2  7.241  38
38.7  2.327  35
39.1  2.304  92
43.7  2.074  87
44.7  2.025  56
44.9  2.018  100

---

TiGaCu: calculated powder diffractogram (Cu Kα), based on a structure optimized by DFT (GGA-PBE).
Intensities are scaled so that the largest is 100.

Structure:
```
data_TiGaCu
_symmetry_space_group_name_H-M 'P 6/m m m'
_symmetry_Int_Tables_number 191
_symmetry_space_group_name_Hall '-P 6 2'
_cell_length_a 4.2891
_cell_length_b 4.2891
_cell_length_c 5.4957
_cell_angle_alpha 90.00
_cell_angle_beta 90.00
_cell_angle_gamma 120.00
loop_
_atom_site_label
_atom_site_fract_x
_atom_site_fract_y
_atom_site_fract_z
Ti1 0.0000 0.0000 0.2364
Ga1 0.3333 0.6667 0.5000
Cu1 0.3333 0.6667 0.0000
```

Principal peaks in the range 2θ from 10° to 90°, low angle first:
2θ (°)  d_spacing  Rel. int.
40.8  2.209  84
42.1  2.145  100
54.3  1.691  25
60.1  1.539  25
76.1  1.250  23
83.6  1.157  23